This entry pairs a crystal structure of Dy2MgNi2 with its computed PXRD pattern. Radiation: Cu Kα. Structure: a structure optimized by DFT (PBE).

a = 7.3085 Å, b = 7.3085 Å, c = 3.7520 Å
α = 90.00°, β = 90.00°, γ = 90.00°
Fractional coordinates of all 10 atoms:
Dy  0.1759  0.3241  0.0000
Dy  0.3241  0.8241  0.0000
Dy  0.6759  0.1759  0.0000
Dy  0.8241  0.6759  0.0000
Mg  0.0000  0.0000  0.5000
Mg  0.5000  0.5000  0.5000
Ni  0.1179  0.6179  0.5000
Ni  0.3821  0.1179  0.5000
Ni  0.6179  0.8821  0.5000
Ni  0.8821  0.3821  0.5000

Top 10 peaks for 10 to 90 degrees two-theta, in order of rising 2θ:
2theta, d (Å), I_rel
17.16, 5.168, 19
24.36, 3.654, 16
27.29, 3.268, 21
34.25, 2.618, 31
36.46, 2.464, 100
38.97, 2.311, 21
48.53, 1.876, 12
51.56, 1.773, 16
57.50, 1.603, 18
73.50, 1.288, 11

---

This entry pairs a crystal structure of Dy6MgSb10O24 with its computed PXRD pattern. Radiation: Cu Kα. Structure: a structure optimized by DFT (PBE).

a = 9.4880 Å, b = 9.4880 Å, c = 9.4880 Å
α = 109.32°, β = 109.32°, γ = 109.77°
Fractional coordinates of all 41 atoms:
Dy  0.0000  0.2631  0.2631
Dy  0.0000  0.7369  0.7369
Dy  0.2500  0.7500  0.5000
Dy  0.2631  0.0000  0.2631
Dy  0.7369  0.0000  0.7369
Dy  0.7500  0.2500  0.5000
Mg  0.0000  0.0000  0.0000
Sb  0.0068  0.0068  0.5118
Sb  0.2192  0.5000  0.7192
Sb  0.2550  0.2550  0.0000
Sb  0.4950  0.4950  0.4882
Sb  0.5000  0.2192  0.7192
Sb  0.5000  0.7808  0.2808
Sb  0.5050  0.9932  0.0000
Sb  0.7450  0.7450  0.0000
Sb  0.7808  0.5000  0.2808
Sb  0.9932  0.5050  0.0000
O  0.0009  0.2958  0.5066
O  0.0026  0.8017  0.0000
O  0.0250  0.5093  0.7971
O  0.0452  0.3130  0.0000
O  0.1983  0.1983  0.2009
O  0.2107  0.7042  0.7050
O  0.2279  0.7122  0.2029
O  0.2878  0.4907  0.5157
O  0.2958  0.0009  0.5066
O  0.3130  0.0452  0.0000
O  0.4907  0.2878  0.5157
O  0.4943  0.7893  0.4934
O  0.5057  0.9991  0.2950
O  0.5093  0.0250  0.7971
O  0.6870  0.6870  0.7322
O  0.7042  0.2107  0.7050
O  0.7122  0.2279  0.2029
O  0.7721  0.9750  0.4843
O  0.7893  0.4943  0.4934
O  0.8017  0.0026  0.0000
O  0.9548  0.9548  0.2678
O  0.9750  0.7721  0.4843
O  0.9974  0.9974  0.7991
O  0.9991  0.5057  0.2950

Top 10 peaks for 10 to 90 degrees two-theta, in order of rising 2θ:
2theta, d (Å), I_rel
11.42, 7.751, 12
28.22, 3.163, 100
32.63, 2.744, 24
32.82, 2.729, 13
46.82, 1.940, 15
46.96, 1.935, 31
55.57, 1.654, 25
55.81, 1.647, 15
58.36, 1.581, 10
75.75, 1.256, 10

---

This entry pairs a crystal structure of Dy6MgSb10O24 with its computed PXRD pattern. Radiation: Cu Kα. Structure: a structure optimized by DFT (PBE).

a = 9.3721 Å, b = 9.3721 Å, c = 9.3721 Å
α = 108.71°, β = 108.71°, γ = 108.71°
Fractional coordinates of all 41 atoms:
Dy  0.0005  0.2437  0.7558
Dy  0.0005  0.7558  0.2437
Dy  0.2437  0.0005  0.7558
Dy  0.2437  0.7558  0.0005
Dy  0.7558  0.0005  0.2437
Dy  0.7558  0.2437  0.0005
Mg  0.8204  0.8204  0.8204
Sb  0.0905  0.0905  0.0905
Sb  0.2308  0.2308  0.5173
Sb  0.2308  0.5173  0.2308
Sb  0.4596  0.7587  0.7587
Sb  0.5057  0.5057  0.9814
Sb  0.5057  0.9814  0.5057
Sb  0.5173  0.2308  0.2308
Sb  0.7587  0.4596  0.7587
Sb  0.7587  0.7587  0.4596
Sb  0.9814  0.5057  0.5057
O  0.0224  0.0224  0.3227
O  0.0220  0.0220  0.8373
O  0.0224  0.3227  0.0224
O  0.0220  0.8373  0.0220
O  0.0367  0.3177  0.5212
O  0.0367  0.5212  0.3177
O  0.2035  0.7146  0.7146
O  0.2155  0.2155  0.7190
O  0.2155  0.7190  0.2155
O  0.3177  0.0367  0.5212
O  0.3177  0.5212  0.0367
O  0.3227  0.0224  0.0224
O  0.5029  0.8028  0.9943
O  0.5029  0.9943  0.8028
O  0.5212  0.0367  0.3177
O  0.5212  0.3177  0.0367
O  0.7146  0.2035  0.7146
O  0.7146  0.7146  0.2035
O  0.7190  0.2155  0.2155
O  0.8028  0.5029  0.9943
O  0.8028  0.9943  0.5029
O  0.8373  0.0220  0.0220
O  0.9943  0.5029  0.8028
O  0.9943  0.8028  0.5029

Top 10 peaks for 10 to 90 degrees two-theta, in order of rising 2θ:
2theta, d (Å), I_rel
11.31, 7.825, 10
11.62, 7.616, 9
27.53, 3.240, 37
28.58, 3.123, 100
32.82, 2.729, 46
46.42, 1.956, 27
47.77, 1.904, 26
54.82, 1.675, 13
56.02, 1.642, 21
56.62, 1.626, 11

---

This entry pairs a crystal structure of Dy6MgSb10O24 with its computed PXRD pattern. Radiation: Cu Kα. Structure: a structure optimized by DFT (PBE).

a = 9.5121 Å, b = 9.5121 Å, c = 9.5121 Å
α = 109.47°, β = 109.47°, γ = 109.47°
Fractional coordinates of all 41 atoms:
Dy  0.2500  0.5000  0.7500
Dy  0.2500  0.7500  0.5000
Dy  0.5000  0.2500  0.7500
Dy  0.5000  0.7500  0.2500
Dy  0.7500  0.2500  0.5000
Dy  0.7500  0.5000  0.2500
Mg  0.0000  0.0000  0.0000
Sb  0.0000  0.0000  0.5123
Sb  0.0000  0.2901  0.2901
Sb  0.0000  0.5123  0.0000
Sb  0.0000  0.7099  0.7099
Sb  0.2901  0.0000  0.2901
Sb  0.2901  0.2901  0.0000
Sb  0.4877  0.4877  0.4877
Sb  0.5123  0.0000  0.0000
Sb  0.7099  0.0000  0.7099
Sb  0.7099  0.7099  0.0000
O  0.0000  0.2009  0.4779
O  0.0000  0.4779  0.2009
O  0.0000  0.4970  0.7028
O  0.0000  0.7028  0.4970
O  0.2009  0.0000  0.4779
O  0.2009  0.4779  0.0000
O  0.2059  0.5030  0.5030
O  0.2770  0.7991  0.7991
O  0.2972  0.2972  0.7941
O  0.2972  0.7941  0.2972
O  0.4779  0.0000  0.2009
O  0.4779  0.2009  0.0000
O  0.4970  0.0000  0.7028
O  0.4970  0.7028  0.0000
O  0.5030  0.2059  0.5030
O  0.5030  0.5030  0.2059
O  0.5221  0.5221  0.7230
O  0.5221  0.7230  0.5221
O  0.7028  0.0000  0.4970
O  0.7028  0.4970  0.0000
O  0.7230  0.5221  0.5221
O  0.7941  0.2972  0.2972
O  0.7991  0.2770  0.7991
O  0.7991  0.7991  0.2770

Top 10 peaks for 10 to 90 degrees two-theta, in order of rising 2θ:
2theta, d (Å), I_rel
11.39, 7.767, 16
28.14, 3.171, 100
30.45, 2.936, 7
32.61, 2.746, 37
46.79, 1.942, 43
55.49, 1.656, 36
58.19, 1.585, 8
75.45, 1.260, 11
77.77, 1.228, 10
86.90, 1.121, 8

---

This entry pairs a crystal structure of Dy6MgSb10O24 with its computed PXRD pattern. Radiation: Cu Kα. Structure: a structure optimized by DFT (PBE).

a = 9.4141 Å, b = 9.4141 Å, c = 9.3321 Å
α = 109.11°, β = 109.11°, γ = 108.30°
Fractional coordinates of all 41 atoms:
Dy  0.1227  0.8773  0.0000
Dy  0.1259  0.3770  0.5180
Dy  0.3686  0.8826  0.7636
Dy  0.3770  0.1259  0.5180
Dy  0.8773  0.1227  0.0000
Dy  0.8826  0.3686  0.7636
Mg  0.9365  0.9365  0.5954
Sb  0.1062  0.6315  0.2694
Sb  0.2151  0.2151  0.8459
Sb  0.3514  0.3514  0.2787
Sb  0.3532  0.6415  0.9967
Sb  0.5832  0.8745  0.5145
Sb  0.6237  0.6237  0.7440
Sb  0.6315  0.1062  0.2694
Sb  0.6415  0.3532  0.9967
Sb  0.8745  0.5832  0.5145
Sb  0.9041  0.9041  0.2364
O  0.1122  0.6293  0.5626
O  0.1276  0.1276  0.5851
O  0.1294  0.9332  0.2646
O  0.1426  0.1426  0.0867
O  0.1481  0.4429  0.7840
O  0.1508  0.9653  0.7900
O  0.1536  0.6374  0.0729
O  0.1640  0.4467  0.2874
O  0.3248  0.8400  0.4792
O  0.3360  0.8397  0.9772
O  0.3395  0.3395  0.4846
O  0.4373  0.6423  0.7983
O  0.4429  0.1481  0.7840
O  0.4467  0.1640  0.2874
O  0.6244  0.9209  0.7531
O  0.6293  0.1122  0.5626
O  0.6374  0.1536  0.0729
O  0.6423  0.4373  0.7983
O  0.8321  0.8321  0.9770
O  0.8400  0.3248  0.4792
O  0.8397  0.3360  0.9772
O  0.9209  0.6244  0.7531
O  0.9332  0.1294  0.2646
O  0.9653  0.1508  0.7900

Top 10 peaks for 10 to 90 degrees two-theta, in order of rising 2θ:
2theta, d (Å), I_rel
27.66, 3.225, 54
28.46, 3.137, 100
28.70, 3.111, 50
32.50, 2.755, 22
32.97, 2.717, 46
46.30, 1.961, 26
46.97, 1.934, 13
47.64, 1.909, 26
47.68, 1.907, 15
55.24, 1.663, 14

---

This entry pairs a crystal structure of Dy2MgTiO6 with its computed PXRD pattern. Radiation: Cu Kα. Structure: a structure optimized by DFT (PBE).

a = 5.3314 Å, b = 5.6343 Å, c = 9.3412 Å
α = 90.00°, β = 124.35°, γ = 90.00°
Fractional coordinates of all 20 atoms:
Dy  0.2276  0.0660  0.2466
Dy  0.2276  0.4340  0.7466
Dy  0.7724  0.5660  0.2534
Dy  0.7724  0.9340  0.7534
Mg  0.0000  0.0000  0.5000
Mg  0.0000  0.5000  0.0000
Ti  0.5000  0.0000  0.0000
Ti  0.5000  0.5000  0.5000
O  0.1463  0.1891  0.9452
O  0.1463  0.3109  0.4452
O  0.2487  0.7056  0.9356
O  0.2487  0.7944  0.4356
O  0.3726  0.0440  0.7573
O  0.3726  0.4560  0.2573
O  0.6274  0.5440  0.7427
O  0.6274  0.9560  0.2427
O  0.7513  0.2056  0.5644
O  0.7513  0.2944  0.0644
O  0.8537  0.6891  0.5548
O  0.8537  0.8109  0.0548

Top 10 peaks for 10 to 90 degrees two-theta, in order of rising 2θ:
2theta, d (Å), I_rel
23.00, 3.866, 100
31.76, 2.817, 24
32.68, 2.740, 71
32.87, 2.725, 71
33.62, 2.666, 34
33.88, 2.646, 24
46.93, 1.936, 24
47.14, 1.928, 21
52.99, 1.728, 25
59.40, 1.556, 25

---

This entry pairs a crystal structure of DyMgPd with its computed PXRD pattern. Radiation: Cu Kα. Structure: a structure optimized by DFT (PBE).

a = 7.5181 Å, b = 7.5181 Å, c = 4.0204 Å
α = 90.00°, β = 90.00°, γ = 120.00°
Fractional coordinates of all 9 atoms:
Dy  0.0000  0.4148  0.0000
Dy  0.4148  0.0000  0.0000
Dy  0.5852  0.5852  0.0000
Mg  0.0000  0.7559  0.5000
Mg  0.2441  0.2441  0.5000
Mg  0.7559  0.0000  0.5000
Pd  0.0000  0.0000  0.0000
Pd  0.3333  0.6667  0.5000
Pd  0.6667  0.3333  0.5000

Top 10 peaks for 10 to 90 degrees two-theta, in order of rising 2θ:
2theta, d (Å), I_rel
23.67, 3.759, 34
27.40, 3.255, 26
32.61, 2.746, 83
35.48, 2.530, 100
36.51, 2.461, 24
41.61, 2.170, 28
43.10, 2.099, 24
55.81, 1.647, 26
66.81, 1.400, 23
76.96, 1.239, 24

---

This entry pairs a crystal structure of Dy2MgPd2 with its computed PXRD pattern. Radiation: Cu Kα. Structure: a structure optimized by DFT (PBE).

a = 7.5772 Å, b = 7.5772 Å, c = 3.8963 Å
α = 90.00°, β = 90.00°, γ = 90.00°
Fractional coordinates of all 10 atoms:
Dy  0.1697  0.3303  0.0000
Dy  0.3303  0.8303  0.0000
Dy  0.6697  0.1697  0.0000
Dy  0.8303  0.6697  0.0000
Mg  0.0000  0.0000  0.5000
Mg  0.5000  0.5000  0.5000
Pd  0.1317  0.6317  0.5000
Pd  0.3683  0.1317  0.5000
Pd  0.6317  0.8683  0.5000
Pd  0.8683  0.3683  0.5000

Top 10 peaks for 10 to 90 degrees two-theta, in order of rising 2θ:
2theta, d (Å), I_rel
16.55, 5.358, 22
23.48, 3.789, 12
32.98, 2.716, 12
35.10, 2.557, 100
37.54, 2.396, 23
46.62, 1.948, 11
51.15, 1.786, 10
55.27, 1.662, 14
61.33, 1.512, 11
71.26, 1.323, 13

---

This entry pairs a crystal structure of PrDyMg2 with its computed PXRD pattern. Radiation: Cu Kα. Structure: a structure optimized by DFT (PBE).

a = 7.6959 Å, b = 7.6959 Å, c = 7.6959 Å
α = 90.00°, β = 90.00°, γ = 90.00°
Fractional coordinates of all 16 atoms:
Pr  0.0000  0.0000  0.0000
Pr  0.0000  0.5000  0.5000
Pr  0.5000  0.0000  0.5000
Pr  0.5000  0.5000  0.0000
Dy  0.0000  0.0000  0.5000
Dy  0.0000  0.5000  0.0000
Dy  0.5000  0.0000  0.0000
Dy  0.5000  0.5000  0.5000
Mg  0.2500  0.2500  0.2500
Mg  0.2500  0.2500  0.7500
Mg  0.2500  0.7500  0.2500
Mg  0.2500  0.7500  0.7500
Mg  0.7500  0.2500  0.2500
Mg  0.7500  0.2500  0.7500
Mg  0.7500  0.7500  0.2500
Mg  0.7500  0.7500  0.7500

Top 10 peaks for 10 to 90 degrees two-theta, in order of rising 2θ:
2theta, d (Å), I_rel
23.11, 3.848, 61
32.92, 2.721, 100
40.61, 2.222, 19
47.24, 1.924, 18
53.23, 1.721, 26
58.78, 1.571, 38
69.04, 1.360, 12
73.89, 1.283, 12
78.62, 1.217, 16
83.28, 1.160, 7

---

This entry pairs a crystal structure of DyMgRh2 with its computed PXRD pattern. Radiation: Cu Kα. Structure: a structure optimized by DFT (PBE).

a = 6.5709 Å, b = 6.5709 Å, c = 6.5709 Å
α = 90.00°, β = 90.00°, γ = 90.00°
Fractional coordinates of all 16 atoms:
Dy  0.0000  0.0000  0.0000
Dy  0.0000  0.5000  0.5000
Dy  0.5000  0.0000  0.5000
Dy  0.5000  0.5000  0.0000
Mg  0.0000  0.0000  0.5000
Mg  0.0000  0.5000  0.0000
Mg  0.5000  0.0000  0.0000
Mg  0.5000  0.5000  0.5000
Rh  0.2500  0.2500  0.2500
Rh  0.2500  0.2500  0.7500
Rh  0.2500  0.7500  0.2500
Rh  0.2500  0.7500  0.7500
Rh  0.7500  0.2500  0.2500
Rh  0.7500  0.2500  0.7500
Rh  0.7500  0.7500  0.2500
Rh  0.7500  0.7500  0.7500

Top 10 peaks for 10 to 90 degrees two-theta, in order of rising 2θ:
2theta, d (Å), I_rel
23.45, 3.794, 28
27.14, 3.285, 1
38.76, 2.323, 100
45.80, 1.981, 14
55.98, 1.643, 17
61.51, 1.507, 6
70.17, 1.341, 34
75.13, 1.265, 5
83.16, 1.162, 11
87.91, 1.111, 5

---

Number 3 is which compound? Dy6MgSb10O24